Starting from the GGA-PBE geometry in Alexandria, the powder XRD pattern of Cs5I was simulated for Cu Kα.
Lines closer than 0.1° are merged.

Principal peaks in the range 2θ = 10–90°, most intense first:
- 2θ = 21.83°, intensity 100
- 2θ = 19.43°, intensity 66
- 2θ = 19.29°, intensity 60
- 2θ = 13.60°, intensity 34
- 2θ = 13.75°, intensity 31
- 2θ = 23.56°, intensity 30
- 2θ = 23.89°, intensity 30
- 2θ = 27.69°, intensity 27
- 2θ = 18.18°, intensity 27
- 2θ = 38.19°, intensity 24

Crystal structure
```
Cs5I
1.0
7.498 -6.426 0.000
7.498 6.426 0.000
-7.284 0.000 12.989
Cs I
10 2
Direct
0.063 0.715 0.349
0.197 0.803 0.750
0.283 0.373 0.035
0.285 0.937 0.151
0.373 0.283 0.535
0.627 0.717 0.465
0.715 0.063 0.849
0.717 0.627 0.965
0.803 0.197 0.250
0.937 0.285 0.651
0.000 0.500 0.500
0.500 0.000 0.000
```



Starting from the GGA-PBE geometry in Alexandria, the powder XRD pattern of Be3AlAu4 was simulated for Cu Kα.
Lines closer than 0.1° are merged.

Principal peaks in the range 2θ = 10–90°, most intense first:
- 2θ = 29.41°, intensity 100
- 2θ = 42.38°, intensity 49
- 2θ = 41.78°, intensity 47
- 2θ = 52.42°, intensity 21
- 2θ = 69.60°, intensity 18
- 2θ = 77.10°, intensity 16
- 2θ = 68.75°, intensity 16
- 2θ = 61.02°, intensity 16
- 2θ = 77.51°, intensity 9
- 2θ = 75.87°, intensity 7

Crystal structure
```
Be3AlAu4
1.0
2.133 1.231 7.110
-2.133 1.231 7.110
0.000 -2.463 7.110
Be Al Au
3 1 4
Direct
0.000 0.000 0.000
0.252 0.252 0.252
0.748 0.748 0.748
0.500 0.500 0.500
0.118 0.118 0.118
0.371 0.371 0.371
0.629 0.629 0.629
0.882 0.882 0.882
```



Starting from the GGA-PBE geometry in Alexandria, the powder XRD pattern of Te was simulated for Cu Kα.
Lines closer than 0.1° are merged.

Principal peaks in the range 2θ = 10–90°, most intense first:
- 2θ = 28.89°, intensity 100
- 2θ = 20.92°, intensity 83
- 2θ = 33.16°, intensity 81
- 2θ = 32.24°, intensity 72
- 2θ = 28.23°, intensity 72
- 2θ = 19.46°, intensity 69
- 2θ = 24.85°, intensity 58
- 2θ = 41.69°, intensity 48
- 2θ = 16.76°, intensity 47
- 2θ = 23.36°, intensity 44

Crystal structure
```
Te
1.0
7.124 0.000 0.000
0.000 9.012 0.000
0.000 0.000 10.578
Te
16
Direct
0.034 0.082 0.237
0.103 0.552 0.845
0.234 0.855 0.108
0.245 0.318 0.128
0.255 0.682 0.628
0.266 0.145 0.608
0.397 0.448 0.345
0.466 0.918 0.737
0.534 0.418 0.763
0.603 0.948 0.155
0.734 0.645 0.892
0.745 0.182 0.872
0.755 0.818 0.372
0.766 0.355 0.392
0.897 0.052 0.655
0.966 0.582 0.263
```



Starting from the GGA-PBE geometry in Alexandria, the powder XRD pattern of AcCoSi2Rh was simulated for Cu Kα.
Lines closer than 0.1° are merged.

Principal peaks in the range 2θ = 10–90°, most intense first:
- 2θ = 35.13°, intensity 100
- 2θ = 33.08°, intensity 85
- 2θ = 23.21°, intensity 69
- 2θ = 56.32°, intensity 48
- 2θ = 44.22°, intensity 37
- 2θ = 60.43°, intensity 26
- 2θ = 75.45°, intensity 22
- 2θ = 50.53°, intensity 19
- 2θ = 47.48°, intensity 18
- 2θ = 64.33°, intensity 16

Crystal structure
```
AcCoSi2Rh
1.0
-2.048 2.048 5.415
2.048 -2.048 5.415
2.048 2.048 -5.415
Ac Co Si Rh
1 1 2 1
Direct
0.000 0.000 0.000
0.750 0.250 0.500
0.359 0.359 0.000
0.641 0.641 0.000
0.250 0.750 0.500
```



Starting from the GGA-PBE geometry in Alexandria, the powder XRD pattern of NaLi10Mg was simulated for Cu Kα.
Lines closer than 0.1° are merged.

Principal peaks in the range 2θ = 10–90°, most intense first:
- 2θ = 25.67°, intensity 100
- 2θ = 36.38°, intensity 99
- 2θ = 36.69°, intensity 87
- 2θ = 18.08°, intensity 76
- 2θ = 25.53°, intensity 49
- 2θ = 31.28°, intensity 41
- 2θ = 52.79°, intensity 37
- 2θ = 36.56°, intensity 37
- 2θ = 59.50°, intensity 26
- 2θ = 52.45°, intensity 25

Crystal structure
```
NaLi10Mg
1.0
4.899 0.000 0.000
0.000 5.655 0.000
0.000 0.000 9.943
Na Li Mg
1 10 1
Direct
0.000 0.000 0.000
0.000 0.000 0.346
0.000 0.000 0.654
0.000 0.500 0.182
0.000 0.500 0.818
0.500 0.000 0.500
0.500 0.259 0.266
0.500 0.259 0.734
0.500 0.500 0.000
0.500 0.741 0.266
0.500 0.741 0.734
0.000 0.500 0.500
```



Starting from the GGA-PBE geometry in Alexandria, the powder XRD pattern of CsRbSe2O6 was simulated for Cu Kα.
Lines closer than 0.1° are merged.

Principal peaks in the range 2θ = 10–90°, most intense first:
- 2θ = 23.52°, intensity 100
- 2θ = 27.67°, intensity 60
- 2θ = 26.81°, intensity 58
- 2θ = 21.86°, intensity 38
- 2θ = 32.94°, intensity 25
- 2θ = 42.83°, intensity 25
- 2θ = 26.36°, intensity 21
- 2θ = 45.83°, intensity 20
- 2θ = 32.18°, intensity 16
- 2θ = 36.73°, intensity 15

Crystal structure
```
CsRbSe2O6
1.0
5.736 -5.960 0.000
5.736 5.960 0.000
-1.670 0.000 6.651
Cs Rb Se O
2 2 4 12
Direct
0.188 0.812 0.750
0.812 0.188 0.250
0.386 0.614 0.250
0.614 0.386 0.750
0.143 0.295 0.771
0.295 0.143 0.271
0.705 0.857 0.729
0.857 0.705 0.229
0.044 0.642 0.301
0.154 0.195 0.075
0.195 0.154 0.575
0.282 0.457 0.829
0.358 0.956 0.199
0.457 0.282 0.329
0.543 0.718 0.671
0.642 0.044 0.801
0.718 0.543 0.171
0.805 0.846 0.425
0.846 0.805 0.925
0.956 0.358 0.699
```



Starting from the GGA-PBE geometry in Alexandria, the powder XRD pattern of Rb2InCl4 was simulated for Cu Kα.
Lines closer than 0.1° are merged.

Principal peaks in the range 2θ = 10–90°, most intense first:
- 2θ = 15.15°, intensity 100
- 2θ = 27.34°, intensity 99
- 2θ = 38.82°, intensity 60
- 2θ = 27.02°, intensity 47
- 2θ = 23.53°, intensity 45
- 2θ = 39.06°, intensity 32
- 2θ = 48.14°, intensity 27
- 2θ = 31.41°, intensity 24
- 2θ = 46.10°, intensity 22
- 2θ = 36.73°, intensity 19

Crystal structure
```
Rb2InCl4
1.0
0.000 6.599 4.613
4.612 0.000 4.613
4.612 6.599 0.000
Rb In Cl
2 1 4
Direct
0.000 0.000 0.500
0.500 0.500 0.000
0.210 0.210 0.790
0.046 0.457 0.543
0.253 0.819 0.747
0.457 0.046 0.954
0.819 0.253 0.181
```



Starting from the GGA-PBE geometry in Alexandria, the powder XRD pattern of PuZnRu was simulated for Cu Kα.
Lines closer than 0.1° are merged.

Principal peaks in the range 2θ = 10–90°, most intense first:
- 2θ = 37.60°, intensity 100
- 2θ = 21.64°, intensity 27
- 2θ = 40.66°, intensity 22
- 2θ = 40.84°, intensity 22
- 2θ = 25.69°, intensity 15
- 2θ = 71.98°, intensity 15
- 2θ = 72.23°, intensity 15
- 2θ = 59.00°, intensity 15
- 2θ = 49.16°, intensity 9
- 2θ = 80.27°, intensity 9

Crystal structure
```
PuZnRu
1.0
2.209 -5.560 0.000
2.209 5.560 0.000
0.000 0.000 4.437
Pu Zn Ru
2 2 2
Direct
0.096 0.904 0.750
0.904 0.096 0.250
0.391 0.609 0.750
0.609 0.391 0.250
0.240 0.760 0.250
0.760 0.240 0.750
```